Entry 1:
Diffraction record for RbTl10Bi3. The PXRD pattern is calculated, not measured: it uses a GGA-PBE-relaxed structure and Cu Kα (λ = 1.5418 Å).

Structure:
```
RbTl10Bi3
1.0
0.000 8.153 8.153
8.153 0.000 8.153
8.153 8.153 0.000
Rb Tl Bi
2 20 6
Direct
0.250 0.250 0.250
0.750 0.750 0.750
0.000 0.000 0.355
0.000 0.000 0.645
0.000 0.355 0.000
0.000 0.355 0.645
0.000 0.645 0.000
0.000 0.645 0.355
0.139 0.620 0.620
0.355 0.000 0.000
0.355 0.000 0.645
0.355 0.645 0.000
0.380 0.380 0.380
0.380 0.380 0.861
0.380 0.861 0.380
0.620 0.139 0.620
0.620 0.620 0.139
0.620 0.620 0.620
0.645 0.000 0.000
0.645 0.000 0.355
0.645 0.355 0.000
0.861 0.380 0.380
0.272 0.272 0.728
0.272 0.728 0.272
0.272 0.728 0.728
0.728 0.272 0.272
0.728 0.272 0.728
0.728 0.728 0.272
```

Main lines, in order of falling intensity (2θ = 10–90°):
2θ/deg, d [Å], I/Imax
28.44, 3.138, 100
32.49, 2.756, 65
31.03, 2.882, 57
36.55, 2.458, 40
15.37, 5.765, 37
55.19, 1.664, 32
32.96, 2.718, 26
51.03, 1.790, 19
65.52, 1.425, 18
47.30, 1.922, 17
76.38, 1.247, 16
60.93, 1.521, 15

---

Entry 2:
Diffraction record for LiNp2O6. The PXRD pattern is calculated, not measured: it uses a GGA-PBE-relaxed structure and Cu Kα (λ = 1.5418 Å).

Structure:
```
LiNp2O6
1.0
5.137 0.000 0.000
0.000 5.363 0.000
0.000 0.000 9.447
Li Np O
2 4 12
Direct
0.000 0.000 0.000
0.500 0.500 0.500
0.000 0.500 0.180
0.000 0.500 0.820
0.500 0.000 0.320
0.500 0.000 0.680
0.182 0.342 0.000
0.226 0.807 0.175
0.226 0.807 0.825
0.274 0.307 0.325
0.274 0.307 0.675
0.318 0.842 0.500
0.682 0.158 0.500
0.726 0.693 0.325
0.726 0.693 0.675
0.774 0.193 0.175
0.774 0.193 0.825
0.818 0.658 0.000
```

Main lines, in order of falling intensity (2θ = 10–90°):
2θ/deg, d [Å], I/Imax
23.99, 3.710, 100
33.39, 2.684, 56
30.64, 2.917, 44
19.67, 4.513, 37
18.79, 4.724, 37
32.99, 2.716, 36
48.81, 1.866, 34
19.03, 4.664, 32
47.95, 1.897, 30
49.12, 1.855, 19
79.96, 1.200, 14
34.93, 2.568, 13

---

Q: Which formula does entry 2 have?
A: LiNp2O6

---

Q: Which formula does entry 2 have?
A: LiNp2O6

---

Please write out number 1 again, unchanged.
Diffraction record for RbTl10Bi3. The PXRD pattern is calculated, not measured: it uses a GGA-PBE-relaxed structure and Cu Kα (λ = 1.5418 Å).

Structure:
```
RbTl10Bi3
1.0
0.000 8.153 8.153
8.153 0.000 8.153
8.153 8.153 0.000
Rb Tl Bi
2 20 6
Direct
0.250 0.250 0.250
0.750 0.750 0.750
0.000 0.000 0.355
0.000 0.000 0.645
0.000 0.355 0.000
0.000 0.355 0.645
0.000 0.645 0.000
0.000 0.645 0.355
0.139 0.620 0.620
0.355 0.000 0.000
0.355 0.000 0.645
0.355 0.645 0.000
0.380 0.380 0.380
0.380 0.380 0.861
0.380 0.861 0.380
0.620 0.139 0.620
0.620 0.620 0.139
0.620 0.620 0.620
0.645 0.000 0.000
0.645 0.000 0.355
0.645 0.355 0.000
0.861 0.380 0.380
0.272 0.272 0.728
0.272 0.728 0.272
0.272 0.728 0.728
0.728 0.272 0.272
0.728 0.272 0.728
0.728 0.728 0.272
```

Main lines, in order of falling intensity (2θ = 10–90°):
2θ/deg, d [Å], I/Imax
28.44, 3.138, 100
32.49, 2.756, 65
31.03, 2.882, 57
36.55, 2.458, 40
15.37, 5.765, 37
55.19, 1.664, 32
32.96, 2.718, 26
51.03, 1.790, 19
65.52, 1.425, 18
47.30, 1.922, 17
76.38, 1.247, 16
60.93, 1.521, 15